# Sr2TcRhO6
Calculated powder diffractogram, Cu Kα, 1.54184 Å. Input: a DFT-relaxed cell (PBE, Alexandria).

Crystal structure
abc: 10.079 10.079 10.079
angles: 32.71 32.71 32.71
Fractional coordinates of all 20 atoms:
Sr 0.122 0.122 0.122
Sr 0.285 0.285 0.285
Sr 0.715 0.715 0.715
Sr 0.878 0.878 0.878
Tc 0.000 0.000 0.000
Tc 0.500 0.500 0.500
Rh 0.412 0.412 0.412
Rh 0.588 0.588 0.588
O 0.132 0.619 0.619
O 0.201 0.201 0.719
O 0.201 0.719 0.201
O 0.281 0.799 0.799
O 0.381 0.381 0.868
O 0.381 0.868 0.381
O 0.619 0.132 0.619
O 0.619 0.619 0.132
O 0.719 0.201 0.201
O 0.799 0.281 0.799
O 0.799 0.799 0.281
O 0.868 0.381 0.381

Most intense lines, 2θ = 10–90°, sorted by position:
two_theta, d/Å, I (rel.)
18.31, 4.845, 9
19.09, 4.649, 24
28.41, 3.142, 41
30.93, 2.891, 15
31.52, 2.838, 100
36.35, 2.472, 29
42.94, 2.106, 30
48.86, 1.864, 20
54.23, 1.691, 13
56.12, 1.639, 25
59.31, 1.558, 15
65.80, 1.419, 25